[1]
Calculated powder diffractogram of Pr6Fe13Bi for Cu Kα, from a structure optimized by DFT (GGA-PBE).

Structure:
```
data_Pr6Fe13Bi
_chemical_formula_sum 'Pr24 Fe52 Bi4'
_cell_length_a 8.1393
_cell_length_b 8.1393
_cell_length_c 23.8337
_cell_angle_alpha 90.00
_cell_angle_beta 90.00
_cell_angle_gamma 90.00
_symmetry_space_group_name_H-M 'I 4/m c m'
_symmetry_Int_Tables_number 140
_symmetry_space_group_name_Hall '-I 4 2c'
loop_
_atom_site_label
_atom_site_type_symbol
_atom_site_fract_x
_atom_site_fract_y
_atom_site_fract_z
Pr1 Pr 0.0000 0.0000 0.1027
Pr2 Pr 0.1607 0.3393 0.1837
Fe1 Fe 0.0000 0.5000 0.0000
Fe2 Fe 0.0672 0.2106 0.5000
Fe3 Fe 0.1135 0.3865 0.4076
Fe4 Fe 0.1782 0.3218 0.0577
Bi1 Bi 0.0000 0.0000 0.2500
```

Top 10 peaks for 2θ from 10° to 80°, most intense first:
2θ (°), Rel. int., index
34.86, 100, 3 1 0
26.94, 72, 2 1 3
30.91, 66, 2 1 5
37.41, 61, 2 0 8
31.47, 49, 2 0 6
42.20, 47, 2 1 9
33.88, 41, 1 1 8
27.28, 40, 1 1 6
31.08, 34, 2 2 0
46.14, 34, 4 1 1


[2]
Calculated powder diffractogram of Y6FeBi2 for Cu Kα, from a structure optimized by DFT (GGA-PBE).

Structure:
```
data_Y6FeBi2
_chemical_formula_sum 'Y6 Fe1 Bi2'
_cell_length_a 8.3683
_cell_length_b 8.3683
_cell_length_c 4.2196
_cell_angle_alpha 90.00
_cell_angle_beta 90.00
_cell_angle_gamma 120.00
_symmetry_space_group_name_H-M 'P -6 2 m'
_symmetry_Int_Tables_number 189
_symmetry_space_group_name_Hall 'P -6 -2'
loop_
_atom_site_label
_atom_site_type_symbol
_atom_site_fract_x
_atom_site_fract_y
_atom_site_fract_z
Y1 Y 0.0000 0.2328 0.0000
Y2 Y 0.0000 0.6040 0.5000
Fe1 Fe 0.0000 0.0000 0.5000
Bi1 Bi 0.3333 0.6667 0.0000
```

Top 10 peaks for 2θ from 10° to 80°, most intense first:
2θ (°), Rel. int., index
30.08, 100, 1 1 1
32.57, 67, 2 0 1
32.69, 47, 2 1 0
39.21, 45, 2 1 1
37.22, 43, 3 0 0
21.23, 31, 1 1 0
62.74, 27, 4 1 1
59.78, 24, 3 2 1
58.04, 24, 3 0 2
42.86, 22, 0 0 2


[3]
Calculated powder diffractogram of ZnFeBi for Cu Kα, from a structure optimized by DFT (GGA-PBE).

Structure:
```
data_ZnFeBi
_chemical_formula_sum 'Zn4 Fe4 Bi4'
_cell_length_a 6.5244
_cell_length_b 6.5244
_cell_length_c 6.5244
_cell_angle_alpha 90.00
_cell_angle_beta 90.00
_cell_angle_gamma 90.00
_symmetry_space_group_name_H-M 'F -4 3 m'
_symmetry_Int_Tables_number 216
_symmetry_space_group_name_Hall 'F -4 2 3'
loop_
_atom_site_label
_atom_site_type_symbol
_atom_site_fract_x
_atom_site_fract_y
_atom_site_fract_z
Zn1 Zn 0.0000 0.0000 0.0000
Fe1 Fe 0.0000 0.0000 0.5000
Bi1 Bi 0.2500 0.2500 0.7500
```

Top 10 peaks for 2θ from 10° to 80°, most intense first:
2θ (°), Rel. int., index
39.05, 100, 2 2 0
23.62, 90, 1 1 1
46.14, 48, 3 1 1
70.74, 34, 4 2 2
62.00, 20, 3 3 1
56.41, 17, 4 0 0
75.76, 15, 5 1 1
27.34, 6, 2 0 0
63.80, 3, 4 2 0
48.32, 2, 2 2 2


[4]
Calculated powder diffractogram of Zr6FeBi2 for Cu Kα, from a structure optimized by DFT (GGA-PBE).

Structure:
```
data_Zr6FeBi2
_chemical_formula_sum 'Zr6 Fe1 Bi2'
_cell_length_a 7.9808
_cell_length_b 7.9808
_cell_length_c 3.6548
_cell_angle_alpha 90.00
_cell_angle_beta 90.00
_cell_angle_gamma 120.00
_symmetry_space_group_name_H-M 'P -6 2 m'
_symmetry_Int_Tables_number 189
_symmetry_space_group_name_Hall 'P -6 -2'
loop_
_atom_site_label
_atom_site_type_symbol
_atom_site_fract_x
_atom_site_fract_y
_atom_site_fract_z
Zr1 Zr 0.0000 0.2355 0.0000
Zr2 Zr 0.0000 0.6093 0.5000
Fe1 Fe 0.0000 0.0000 0.5000
Bi1 Bi 0.3333 0.6667 0.0000
```

Top 10 peaks for 2θ from 10° to 80°, most intense first:
2θ (°), Rel. int., index
33.24, 100, 1 1 1
35.76, 63, 2 0 1
39.10, 51, 3 0 0
34.33, 50, 2 1 0
42.54, 46, 2 1 1
22.28, 32, 1 1 0
67.14, 28, 4 1 1
64.01, 25, 3 2 1
65.16, 23, 3 0 2
49.90, 18, 0 0 2


[5]
Calculated powder diffractogram of GaBi for Cu Kα, from a structure optimized by DFT (GGA-PBE).

Structure:
```
data_GaBi
_chemical_formula_sum 'Ga4 Bi4'
_cell_length_a 6.4600
_cell_length_b 6.4600
_cell_length_c 6.4600
_cell_angle_alpha 90.00
_cell_angle_beta 90.00
_cell_angle_gamma 90.00
_symmetry_space_group_name_H-M 'F -4 3 m'
_symmetry_Int_Tables_number 216
_symmetry_space_group_name_Hall 'F -4 2 3'
loop_
_atom_site_label
_atom_site_type_symbol
_atom_site_fract_x
_atom_site_fract_y
_atom_site_fract_z
Ga1 Ga 0.0000 0.0000 0.0000
Bi1 Bi 0.2500 0.2500 0.2500
```

Top 10 peaks for 2θ from 10° to 80°, most intense first:
2θ (°), Rel. int., index
23.86, 100, 1 1 1
39.45, 68, 2 2 0
46.63, 52, 3 1 1
71.55, 24, 4 2 2
62.69, 22, 3 3 1
27.62, 19, 2 0 0
76.65, 17, 5 1 1
57.02, 12, 4 0 0
64.51, 8, 4 2 0
48.84, 6, 2 2 2


[6]
Calculated powder diffractogram of Ga3Bi for Cu Kα, from a structure optimized by DFT (GGA-PBE).

Structure:
```
data_Ga3Bi
_chemical_formula_sum 'Ga3 Bi1'
_cell_length_a 4.5308
_cell_length_b 4.5308
_cell_length_c 4.5308
_cell_angle_alpha 90.00
_cell_angle_beta 90.00
_cell_angle_gamma 90.00
_symmetry_space_group_name_H-M 'P m -3 m'
_symmetry_Int_Tables_number 221
_symmetry_space_group_name_Hall '-P 4 2 3'
loop_
_atom_site_label
_atom_site_type_symbol
_atom_site_fract_x
_atom_site_fract_y
_atom_site_fract_z
Ga1 Ga 0.0000 0.0000 0.5000
Bi1 Bi 0.5000 0.5000 0.5000
```

Top 10 peaks for 2θ from 10° to 80°, most intense first:
2θ (°), Rel. int., index
34.28, 100, 1 1 1
39.79, 50, 2 0 0
68.71, 40, 3 1 1
57.54, 34, 2 2 0
19.59, 28, 1 0 0
27.85, 24, 1 1 0
44.73, 14, 2 1 0
72.23, 11, 2 2 2
49.26, 11, 2 1 1
61.39, 7, 3 0 0


[7]
Calculated powder diffractogram of Mg6GaBi for Cu Kα, from a structure optimized by DFT (GGA-PBE).

Structure:
```
data_Mg6GaBi
_chemical_formula_sum 'Mg12 Ga2 Bi2'
_cell_length_a 5.2544
_cell_length_b 6.5677
_cell_length_c 10.8399
_cell_angle_alpha 90.00
_cell_angle_beta 90.00
_cell_angle_gamma 90.00
_symmetry_space_group_name_H-M 'A m m 2'
_symmetry_Int_Tables_number 38
_symmetry_space_group_name_Hall 'A 2 -2'
loop_
_atom_site_label
_atom_site_type_symbol
_atom_site_fract_x
_atom_site_fract_y
_atom_site_fract_z
Mg1 Mg 0.0000 0.0000 0.0000
Mg2 Mg 0.0000 0.0000 0.4950
Mg3 Mg 0.0000 0.2408 0.2478
Mg4 Mg 0.5000 0.2492 0.9153
Ga1 Ga 0.5000 0.0000 0.1635
Bi1 Bi 0.5000 0.0000 0.6641
```

Top 10 peaks for 2θ from 10° to 80°, most intense first:
2θ (°), Rel. int., index
36.27, 100, 1 2 2
16.35, 57, 0 0 2
16.87, 53, 1 0 0
23.58, 50, 1 0 2
37.34, 46, 1 0 4
31.86, 40, 0 2 2
15.78, 39, 0 1 1
23.18, 36, 1 1 1
34.13, 36, 2 0 0
69.28, 35, 2 2 6


[8]
Calculated powder diffractogram of Mg6GaBi for Cu Kα, from a structure optimized by DFT (GGA-PBE).

Structure:
```
data_Mg6GaBi
_chemical_formula_sum 'Mg12 Ga2 Bi2'
_cell_length_a 5.3062
_cell_length_b 6.2894
_cell_length_c 11.1838
_cell_angle_alpha 90.00
_cell_angle_beta 90.00
_cell_angle_gamma 90.00
_symmetry_space_group_name_H-M 'A m m 2'
_symmetry_Int_Tables_number 38
_symmetry_space_group_name_Hall 'A 2 -2'
loop_
_atom_site_label
_atom_site_type_symbol
_atom_site_fract_x
_atom_site_fract_y
_atom_site_fract_z
Mg1 Mg 0.0000 0.0000 0.0000
Mg2 Mg 0.0000 0.2460 0.7446
Mg3 Mg 0.5000 0.0000 0.1638
Mg4 Mg 0.5000 0.2458 0.9139
Ga1 Ga 0.5000 0.0000 0.6809
Bi1 Bi 0.0000 0.0000 0.4949
```

Top 10 peaks for 2θ from 10° to 80°, most intense first:
2θ (°), Rel. int., index
36.91, 100, 1 2 2
16.17, 94, 0 1 1
32.64, 68, 0 2 2
23.33, 60, 1 1 1
23.11, 51, 1 0 2
36.32, 42, 1 0 4
33.78, 39, 2 0 0
62.49, 28, 3 2 2
15.85, 26, 0 0 2
37.67, 25, 2 1 1


Please write out number 1 again, unchanged.
Calculated powder diffractogram of Pr6Fe13Bi for Cu Kα, from a structure optimized by DFT (GGA-PBE).

Structure:
```
data_Pr6Fe13Bi
_chemical_formula_sum 'Pr24 Fe52 Bi4'
_cell_length_a 8.1393
_cell_length_b 8.1393
_cell_length_c 23.8337
_cell_angle_alpha 90.00
_cell_angle_beta 90.00
_cell_angle_gamma 90.00
_symmetry_space_group_name_H-M 'I 4/m c m'
_symmetry_Int_Tables_number 140
_symmetry_space_group_name_Hall '-I 4 2c'
loop_
_atom_site_label
_atom_site_type_symbol
_atom_site_fract_x
_atom_site_fract_y
_atom_site_fract_z
Pr1 Pr 0.0000 0.0000 0.1027
Pr2 Pr 0.1607 0.3393 0.1837
Fe1 Fe 0.0000 0.5000 0.0000
Fe2 Fe 0.0672 0.2106 0.5000
Fe3 Fe 0.1135 0.3865 0.4076
Fe4 Fe 0.1782 0.3218 0.0577
Bi1 Bi 0.0000 0.0000 0.2500
```

Top 10 peaks for 2θ from 10° to 80°, most intense first:
2θ (°), Rel. int., index
34.86, 100, 3 1 0
26.94, 72, 2 1 3
30.91, 66, 2 1 5
37.41, 61, 2 0 8
31.47, 49, 2 0 6
42.20, 47, 2 1 9
33.88, 41, 1 1 8
27.28, 40, 1 1 6
31.08, 34, 2 2 0
46.14, 34, 4 1 1


Question: Number 1 is which compound?
Answer: Pr6Fe13Bi


Question: What is the formula in the fourth record?
Answer: Zr6FeBi2